No. 1
Diffraction record for PrGa4Cu12. The X-ray diffraction stick pattern is calculated, not measured: it uses a structure optimized by DFT (PBE) and λ = 1.5418 Å (Cu Kα).
Kinematic intensities with the Lorentz-polarization factor, no thermal factor.

Largest 10 diffraction maxima, by angle, 10° ≤ 2θ ≤ 90°:
2θ/deg	I/Imax
30.48	24
34.18	100
40.70	45
49.11	21
54.16	32
56.57	42
67.78	4
71.99	10
78.14	11
80.16	10

Structural model:
```
PrGa4Cu12
1.0
-4.1478 4.1478 4.1478
4.1478 -4.1478 4.1478
4.1478 4.1478 -4.1478
Pr Ga Cu
1 4 12
direct
0.0000 0.0000 0.0000 Pr
0.0000 0.0000 0.5000 Ga
0.0000 0.5000 0.0000 Ga
0.5000 0.0000 0.0000 Ga
0.5000 0.5000 0.5000 Ga
0.1479 0.3561 0.5040 Cu
0.1479 0.6439 0.7918 Cu
0.2082 0.8521 0.3561 Cu
0.3561 0.2082 0.8521 Cu
0.3561 0.5040 0.1479 Cu
0.4960 0.8521 0.6439 Cu
0.5040 0.1479 0.3561 Cu
0.6439 0.4960 0.8521 Cu
0.6439 0.7918 0.1479 Cu
0.7918 0.1479 0.6439 Cu
0.8521 0.3561 0.2082 Cu
0.8521 0.6439 0.4960 Cu
```

No. 2
Diffraction record for Pr2Ga3Cu5. The X-ray diffraction stick pattern is calculated, not measured: it uses a structure optimized by DFT (PBE) and λ = 1.5418 Å (Cu Kα).
Kinematic intensities with the Lorentz-polarization factor, no thermal factor.

Largest 10 diffraction maxima, by angle, 10° ≤ 2θ ≤ 90°:
2θ/deg	I/Imax
29.70	19
34.13	64
34.79	100
42.50	61
50.33	23
55.60	31
61.67	19
63.74	12
67.94	19
72.79	22

Structural model:
```
Pr2Ga3Cu5
1.0
4.2541 0.0000 0.0000
0.0000 4.2541 0.0000
0.0000 0.0000 10.0193
Pr Ga Cu
2 3 5
direct
0.0000 0.5000 0.2389 Pr
0.5000 0.0000 0.7611 Pr
0.0000 0.5000 0.6432 Ga
0.5000 0.0000 0.3568 Ga
0.5000 0.5000 0.5000 Ga
0.0000 0.0000 0.0000 Cu
0.0000 0.0000 0.5000 Cu
0.0000 0.5000 0.8836 Cu
0.5000 0.0000 0.1164 Cu
0.5000 0.5000 0.0000 Cu
```

No. 3
Diffraction record for PrGa2Cu4. The X-ray diffraction stick pattern is calculated, not measured: it uses a structure optimized by DFT (PBE) and λ = 1.5418 Å (Cu Kα).
Kinematic intensities with the Lorentz-polarization factor, no thermal factor.

Largest 10 diffraction maxima, by angle, 10° ≤ 2θ ≤ 90°:
2θ/deg	I/Imax
29.10	33
31.32	15
36.66	75
39.68	25
43.49	100
46.25	17
56.65	18
58.15	19
75.34	16
79.83	15

Structural model:
```
PrGa2Cu4
1.0
2.0809 1.2014 7.8006
-2.0809 1.2014 7.8006
0.0000 -2.4028 7.8006
Pr Ga Cu
1 2 4
direct
0.0000 0.0000 0.0000 Pr
0.2493 0.2493 0.2493 Ga
0.7507 0.7507 0.7507 Ga
0.1427 0.1427 0.1427 Cu
0.4444 0.4444 0.4444 Cu
0.5556 0.5556 0.5556 Cu
0.8573 0.8573 0.8573 Cu
```

No. 4
Diffraction record for Pr3Ga8Cu3. The X-ray diffraction stick pattern is calculated, not measured: it uses a structure optimized by DFT (PBE) and λ = 1.5418 Å (Cu Kα).
Kinematic intensities with the Lorentz-polarization factor, no thermal factor.

Largest 10 diffraction maxima, by angle, 10° ≤ 2θ ≤ 90°:
2θ/deg	I/Imax
29.26	15
33.75	15
34.92	100
35.24	19
36.05	18
37.75	20
41.33	31
42.38	13
68.14	11
71.24	12

Structural model:
```
Pr3Ga8Cu3
1.0
-2.1843 4.7621 6.3978
2.1843 -4.7621 6.3978
2.1843 4.7621 -6.3978
Pr Ga Cu
3 8 3
direct
0.0000 0.0000 0.0000 Pr
0.3041 0.3041 0.0000 Pr
0.6959 0.6959 0.0000 Pr
0.0184 0.6560 0.3624 Ga
0.1570 0.8696 0.2874 Ga
0.2936 0.6560 0.6376 Ga
0.4178 0.1304 0.2874 Ga
0.5822 0.8696 0.7126 Ga
0.7064 0.3440 0.3624 Ga
0.8430 0.1304 0.7126 Ga
0.9816 0.3440 0.6376 Ga
0.3053 0.5000 0.8053 Cu
0.5000 0.0000 0.5000 Cu
0.6947 0.5000 0.1947 Cu
```